# V2ZnO4
Theoretical powder diffractogram, copper Kα. Input: a crystal structure in Alexandria, relaxed with GGA+U.

Cell lengths 6.0677, 6.0677, 14.8435 Å; angles 90.08, 90.08, 60.06 degrees
Atoms (fractional coordinates):
V 0.0000 0.0000 0.0000
V 0.0013 0.5003 0.1246
V 0.1624 0.6632 0.4588
V 0.1632 0.1632 0.4578
V 0.3314 0.3314 0.2915
V 0.3350 0.8315 0.7916
V 0.5003 0.0013 0.1246
V 0.4997 0.4997 0.1245
V 0.6632 0.1624 0.4588
V 0.8308 0.8308 0.7906
V 0.8315 0.3350 0.7916
V 0.9970 0.9970 0.6258
Zn 0.3313 0.3313 0.9126
Zn 0.3316 0.3316 0.6675
Zn 0.6637 0.6637 0.3334
Zn 0.6638 0.6638 0.5825
Zn 0.6649 0.6649 0.9559
Zn 0.9977 0.9977 0.2506
O 0.0240 0.4818 0.3784
O 0.1522 0.1522 0.7145
O 0.1544 0.6950 0.7106
O 0.1801 0.1801 0.2037
O 0.1815 0.6381 0.2049
O 0.3005 0.8443 0.5387
O 0.3299 0.3299 0.5318
O 0.3349 0.3349 0.0509
O 0.3476 0.8264 0.0464
O 0.4818 0.0240 0.3784
O 0.4819 0.4819 0.3774
O 0.5081 0.5081 0.8644
O 0.5091 0.9757 0.8682
O 0.6381 0.1815 0.2049
O 0.6645 0.6645 0.1968
O 0.6696 0.6696 0.7170
O 0.6950 0.1544 0.7106
O 0.8264 0.3476 0.0464
O 0.8265 0.8265 0.0505
O 0.8433 0.8433 0.5366
O 0.8443 0.3005 0.5387
O 0.9757 0.5091 0.8682
O 0.9948 0.9948 0.8683
O 0.9965 0.9965 0.3848

Most intense lines, 2θ = 10–80°, low angle first:
2θ/deg  d_spacing  Rel. int.
29.4  3.033  38
34.7  2.587  100
36.3  2.477  5
42.1  2.145  14
52.2  1.751  13
55.6  1.652  28
55.7  1.649  9
61.1  1.517  30
61.2  1.515  15
72.2  1.309  8